Entry 1:
# Ho2Tm6S3
Computed powder diffractogram, Cu Kα, 1.54184 Å. Input: a cell relaxed with GGA-PBE.

```
data_Ho2Tm6S3
_chemical_formula_sum 'Ho2 Tm6 S3'
_space_group_name_H-M_alt 'P 1'
_space_group_IT_number 1
_space_group_name_Hall 'P 1'
_cell_length_a 24.198
_cell_length_b 24.198
_cell_length_c 24.198
_cell_angle_alpha 8.72
_cell_angle_beta 8.72
_cell_angle_gamma 8.72
loop_
_atom_site_label
_atom_site_fract_x
_atom_site_fract_y
_atom_site_fract_z
Ho1 0.058 0.058 0.058
Ho2 0.942 0.942 0.942
Tm1 0.143 0.143 0.143
Tm2 0.314 0.314 0.314
Tm3 0.431 0.431 0.431
Tm4 0.569 0.569 0.569
Tm5 0.686 0.686 0.686
Tm6 0.857 0.857 0.857
S1 0.212 0.212 0.212
S2 0.500 0.500 0.500
S3 0.788 0.788 0.788
```

Peak list (8 most intense, 10° ≤ 2θ ≤ 90°, by intensity)
d [Å]  I_rel
3.008  100
2.867  85
1.839  56
2.604  47
1.570  42
1.733  33
2.711  33
2.443  31


Entry 2:
# CdPd4
Computed powder diffractogram, Cu Kα, 1.54184 Å. Input: a cell relaxed with GGA-PBE.

```
data_CdPd4
_chemical_formula_sum 'Cd2 Pd8'
_space_group_name_H-M_alt 'P 1'
_space_group_IT_number 1
_space_group_name_Hall 'P 1'
_cell_length_a 8.033
_cell_length_b 5.343
_cell_length_c 4.574
_cell_angle_alpha 90.00
_cell_angle_beta 115.71
_cell_angle_gamma 90.00
loop_
_atom_site_label
_atom_site_fract_x
_atom_site_fract_y
_atom_site_fract_z
Cd1 0.000 0.000 0.000
Cd2 0.500 0.500 0.000
Pd1 0.112 0.500 0.858
Pd2 0.250 0.250 0.500
Pd3 0.250 0.750 0.500
Pd4 0.388 0.000 0.142
Pd5 0.612 0.000 0.858
Pd6 0.750 0.250 0.500
Pd7 0.750 0.750 0.500
Pd8 0.888 0.500 0.142
```

Peak list (8 most intense, 10° ≤ 2θ ≤ 90°, by intensity)
d [Å]  I_rel
2.242  100
2.148  79
2.274  65
2.367  58
2.079  30
3.602  30
2.262  24
1.326  23


Entry 3:
# Sr2HoCu2Bi2O8
Computed powder diffractogram, Cu Kα, 1.54184 Å. Input: a cell relaxed with GGA-PBE.

```
data_Sr2HoCu2Bi2O8
_chemical_formula_sum 'Sr2 Ho1 Cu2 Bi2 O8'
_space_group_name_H-M_alt 'P 1'
_space_group_IT_number 1
_space_group_name_Hall 'P 1'
_cell_length_a 15.587
_cell_length_b 15.587
_cell_length_c 15.587
_cell_angle_alpha 166.05
_cell_angle_beta 166.05
_cell_angle_gamma 19.78
loop_
_atom_site_label
_atom_site_fract_x
_atom_site_fract_y
_atom_site_fract_z
Sr1 0.114 0.114 0.000
Sr2 0.886 0.886 0.000
Ho1 0.000 0.000 0.000
Cu1 0.448 0.448 0.000
Cu2 0.552 0.552 0.000
Bi1 0.297 0.297 0.000
Bi2 0.703 0.703 0.000
O1 0.048 0.548 0.500
O2 0.200 0.200 0.000
O3 0.367 0.367 0.000
O4 0.452 0.952 0.500
O5 0.548 0.048 0.500
O6 0.633 0.633 0.000
O7 0.800 0.800 0.000
O8 0.952 0.452 0.500
```

Peak list (8 most intense, 10° ≤ 2θ ≤ 90°, by intensity)
d [Å]  I_rel
2.867  100
2.678  91
3.223  45
3.552  45
1.893  42
2.018  40
1.580  36
1.631  33


Entry 4:
# Tb3GeBr7
Computed powder diffractogram, Cu Kα, 1.54184 Å. Input: a cell relaxed with GGA-PBE.

```
data_Tb3GeBr7
_chemical_formula_sum 'Tb3 Ge1 Br7'
_space_group_name_H-M_alt 'P 1'
_space_group_IT_number 1
_space_group_name_Hall 'P 1'
_cell_length_a 8.422
_cell_length_b 8.422
_cell_length_c 6.770
_cell_angle_alpha 90.00
_cell_angle_beta 90.00
_cell_angle_gamma 120.00
loop_
_atom_site_label
_atom_site_fract_x
_atom_site_fract_y
_atom_site_fract_z
Tb1 0.007 0.504 0.000
Tb2 0.496 0.504 0.000
Tb3 0.496 0.993 0.000
Ge1 0.333 0.667 0.751
Br1 0.176 0.352 0.239
Br2 0.176 0.824 0.239
Br3 0.348 0.174 0.780
Br4 0.648 0.824 0.239
Br5 0.667 0.333 0.243
Br6 0.826 0.174 0.780
Br7 0.826 0.652 0.780
```

Peak list (8 most intense, 10° ≤ 2θ ≤ 90°, by intensity)
d [Å]  I_rel
3.211  100
2.481  62
6.770  56
2.106  37
1.919  27
7.294  23
1.761  17
1.605  16


Entry 5:
# Ba2NpBiS6
Computed powder diffractogram, Cu Kα, 1.54184 Å. Input: a cell relaxed with GGA-PBE.

```
data_Ba2NpBiS6
_chemical_formula_sum 'Ba2 Np1 Bi1 S6'
_space_group_name_H-M_alt 'P 1'
_space_group_IT_number 1
_space_group_name_Hall 'P 1'
_cell_length_a 7.331
_cell_length_b 7.331
_cell_length_c 7.504
_cell_angle_alpha 119.97
_cell_angle_beta 119.97
_cell_angle_gamma 59.94
loop_
_atom_site_label
_atom_site_fract_x
_atom_site_fract_y
_atom_site_fract_z
Ba1 0.249 0.249 0.232
Ba2 0.751 0.751 0.768
Np1 0.500 0.500 0.000
Bi1 0.000 0.000 0.500
S1 0.199 0.688 0.184
S2 0.261 0.261 0.665
S3 0.312 0.801 0.816
S4 0.688 0.199 0.184
S5 0.739 0.739 0.335
S6 0.801 0.312 0.816
```

Peak list (8 most intense, 10° ≤ 2θ ≤ 90°, by intensity)
d [Å]  I_rel
3.664  100
3.710  68
2.621  49
2.116  45
3.752  29
1.832  22
2.594  20
5.241  20


Entry 6:
# Ac4PdPb8
Computed powder diffractogram, Cu Kα, 1.54184 Å. Input: a cell relaxed with GGA-PBE.

```
data_Ac4PdPb8
_chemical_formula_sum 'Ac4 Pd1 Pb8'
_space_group_name_H-M_alt 'P 1'
_space_group_IT_number 1
_space_group_name_Hall 'P 1'
_cell_length_a 4.765
_cell_length_b 4.859
_cell_length_c 18.466
_cell_angle_alpha 90.00
_cell_angle_beta 90.00
_cell_angle_gamma 90.00
loop_
_atom_site_label
_atom_site_fract_x
_atom_site_fract_y
_atom_site_fract_z
Ac1 0.000 0.000 0.000
Ac2 0.000 0.500 0.490
Ac3 0.500 0.000 0.789
Ac4 0.500 0.500 0.293
Pd1 0.000 0.500 0.709
Pb1 0.000 0.000 0.330
Pb2 0.000 0.000 0.630
Pb3 0.000 0.500 0.144
Pb4 0.000 0.500 0.856
Pb5 0.500 0.000 0.150
Pb6 0.500 0.000 0.447
Pb7 0.500 0.500 0.630
Pb8 0.500 0.500 0.968
```

Peak list (8 most intense, 10° ≤ 2θ ≤ 90°, by intensity)
d [Å]  I_rel
2.977  100
1.488  21
2.429  19
2.382  18
3.078  16
1.701  13
1.466  13
2.585  9


Entry 7:
# Er3Zn2Pt6
Computed powder diffractogram, Cu Kα, 1.54184 Å. Input: a cell relaxed with GGA-PBE.

```
data_Er3Zn2Pt6
_chemical_formula_sum 'Er6 Zn4 Pt12'
_space_group_name_H-M_alt 'P 1'
_space_group_IT_number 1
_space_group_name_Hall 'P 1'
_cell_length_a 8.229
_cell_length_b 8.229
_cell_length_c 8.229
_cell_angle_alpha 109.47
_cell_angle_beta 109.47
_cell_angle_gamma 109.47
loop_
_atom_site_label
_atom_site_fract_x
_atom_site_fract_y
_atom_site_fract_z
Er1 0.000 0.306 0.306
Er2 0.000 0.694 0.694
Er3 0.306 0.000 0.306
Er4 0.306 0.306 0.000
Er5 0.694 0.000 0.694
Er6 0.694 0.694 0.000
Zn1 0.000 0.000 0.500
Zn2 0.000 0.500 0.000
Zn3 0.500 0.000 0.000
Zn4 0.500 0.500 0.500
Pt1 0.000 0.328 0.672
Pt2 0.000 0.672 0.328
Pt3 0.328 0.000 0.672
Pt4 0.328 0.328 0.657
Pt5 0.328 0.657 0.328
Pt6 0.328 0.672 0.000
Pt7 0.343 0.672 0.672
Pt8 0.657 0.328 0.328
Pt9 0.672 0.000 0.328
Pt10 0.672 0.328 0.000
Pt11 0.672 0.343 0.672
Pt12 0.672 0.672 0.343
```

Peak list (8 most intense, 10° ≤ 2θ ≤ 90°, by intensity)
d [Å]  I_rel
2.240  100
1.293  31
6.719  29
2.539  24
1.584  13
3.005  13
1.541  13
1.120  11


Entry 8:
# Zr3N3O
Computed powder diffractogram, Cu Kα, 1.54184 Å. Input: a cell relaxed with GGA-PBE.

```
data_Zr3N3O
_chemical_formula_sum 'Zr12 N12 O4'
_space_group_name_H-M_alt 'P 1'
_space_group_IT_number 1
_space_group_name_Hall 'P 1'
_cell_length_a 6.613
_cell_length_b 5.660
_cell_length_c 9.972
_cell_angle_alpha 90.00
_cell_angle_beta 91.91
_cell_angle_gamma 90.00
loop_
_atom_site_label
_atom_site_fract_x
_atom_site_fract_y
_atom_site_fract_z
Zr1 0.119 0.045 0.306
Zr2 0.119 0.455 0.806
Zr3 0.211 0.564 0.474
Zr4 0.211 0.936 0.974
Zr5 0.350 0.041 0.644
Zr6 0.350 0.459 0.144
Zr7 0.650 0.541 0.856
Zr8 0.650 0.959 0.356
Zr9 0.789 0.064 0.026
Zr10 0.789 0.436 0.526
Zr11 0.881 0.545 0.194
Zr12 0.881 0.955 0.694
N1 0.078 0.239 0.099
N2 0.078 0.261 0.599
N3 0.160 0.750 0.170
N4 0.160 0.750 0.670
N5 0.361 0.169 0.840
N6 0.361 0.331 0.340
N7 0.639 0.669 0.660
N8 0.639 0.831 0.160
N9 0.840 0.250 0.330
N10 0.840 0.250 0.830
N11 0.922 0.739 0.401
N12 0.922 0.761 0.901
O1 0.354 0.615 0.931
O2 0.354 0.885 0.431
O3 0.646 0.115 0.569
O4 0.646 0.385 0.069
```

Peak list (8 most intense, 10° ≤ 2θ ≤ 90°, by intensity)
d [Å]  I_rel
2.865  100
2.723  70
2.830  35
2.797  32
1.989  32
2.525  32
2.602  23
1.700  19


Entry 9:
# Pr5ZnGa2
Computed powder diffractogram, Cu Kα, 1.54184 Å. Input: a cell relaxed with GGA-PBE.

```
data_Pr5ZnGa2
_chemical_formula_sum 'Pr10 Zn2 Ga4'
_space_group_name_H-M_alt 'P 1'
_space_group_IT_number 1
_space_group_name_Hall 'P 1'
_cell_length_a 9.428
_cell_length_b 9.428
_cell_length_c 9.428
_cell_angle_alpha 131.10
_cell_angle_beta 131.10
_cell_angle_gamma 71.65
loop_
_atom_site_label
_atom_site_fract_x
_atom_site_fract_y
_atom_site_fract_z
Pr1 0.000 0.000 0.000
Pr2 0.026 0.526 0.847
Pr3 0.178 0.026 0.500
Pr4 0.322 0.822 0.847
Pr5 0.474 0.322 0.500
Pr6 0.500 0.500 0.000
Pr7 0.526 0.678 0.500
Pr8 0.678 0.178 0.153
Pr9 0.822 0.974 0.500
Pr10 0.974 0.474 0.153
Zn1 0.250 0.250 0.000
Zn2 0.750 0.750 0.000
Ga1 0.117 0.383 0.500
Ga2 0.383 0.883 0.267
Ga3 0.617 0.117 0.733
Ga4 0.883 0.617 0.500
```

Peak list (8 most intense, 10° ≤ 2θ ≤ 90°, by intensity)
d [Å]  I_rel
2.880  100
2.731  46
2.468  40
1.774  30
1.658  16
2.548  16
2.759  15
3.142  15


Entry 10:
# NdScC
Computed powder diffractogram, Cu Kα, 1.54184 Å. Input: a cell relaxed with GGA-PBE.

```
data_NdScC
_chemical_formula_sum 'Nd2 Sc2 C2'
_space_group_name_H-M_alt 'P 1'
_space_group_IT_number 1
_space_group_name_Hall 'P 1'
_cell_length_a 3.544
_cell_length_b 4.623
_cell_length_c 8.175
_cell_angle_alpha 90.00
_cell_angle_beta 90.00
_cell_angle_gamma 90.00
loop_
_atom_site_label
_atom_site_fract_x
_atom_site_fract_y
_atom_site_fract_z
Nd1 0.250 0.250 0.174
Nd2 0.750 0.750 0.826
Sc1 0.250 0.250 0.576
Sc2 0.750 0.750 0.424
C1 0.250 0.750 0.610
C2 0.750 0.250 0.390
```

Peak list (8 most intense, 10° ≤ 2θ ≤ 90°, by intensity)
d [Å]  I_rel
4.024  100
2.812  96
3.062  78
2.678  72
1.957  50
2.313  47
3.251  44
1.750  38


Entry 11:
# Ir2PtW
Computed powder diffractogram, Cu Kα, 1.54184 Å. Input: a cell relaxed with GGA-PBE.

```
data_Ir2PtW
_chemical_formula_sum 'Ir4 Pt2 W2'
_space_group_name_H-M_alt 'P 1'
_space_group_IT_number 1
_space_group_name_Hall 'P 1'
_cell_length_a 3.950
_cell_length_b 3.950
_cell_length_c 7.726
_cell_angle_alpha 90.00
_cell_angle_beta 90.00
_cell_angle_gamma 90.00
loop_
_atom_site_label
_atom_site_fract_x
_atom_site_fract_y
_atom_site_fract_z
Ir1 0.000 0.500 0.250
Ir2 0.000 0.500 0.750
Ir3 0.500 0.000 0.250
Ir4 0.500 0.000 0.750
Pt1 0.000 0.000 0.000
Pt2 0.500 0.500 0.500
W1 0.000 0.000 0.500
W2 0.500 0.500 0.000
```

Peak list (8 most intense, 10° ≤ 2θ ≤ 90°, by intensity)
d [Å]  I_rel
2.263  100
1.975  33
1.189  26
1.381  21
1.931  16
1.169  13
1.132  12
1.397  11


Entry 12:
# Li3Sc2Tl3
Computed powder diffractogram, Cu Kα, 1.54184 Å. Input: a cell relaxed with GGA-PBE.

```
data_Li3Sc2Tl3
_chemical_formula_sum 'Li3 Sc2 Tl3'
_space_group_name_H-M_alt 'P 1'
_space_group_IT_number 1
_space_group_name_Hall 'P 1'
_cell_length_a 8.565
_cell_length_b 8.565
_cell_length_c 8.565
_cell_angle_alpha 33.45
_cell_angle_beta 33.45
_cell_angle_gamma 33.45
loop_
_atom_site_label
_atom_site_fract_x
_atom_site_fract_y
_atom_site_fract_z
Li1 0.000 0.000 0.000
Li2 0.125 0.125 0.125
Li3 0.500 0.500 0.500
Sc1 0.252 0.252 0.252
Sc2 0.745 0.745 0.745
Tl1 0.382 0.382 0.382
Tl2 0.623 0.623 0.623
Tl3 0.867 0.867 0.867
```

Peak list (8 most intense, 10° ≤ 2θ ≤ 90°, by intensity)
d [Å]  I_rel
2.468  100
3.490  64
1.424  27
4.030  21
4.205  19
3.204  17
1.745  17
2.013  15